Starting from a DFT-relaxed cell (GGA-PBE, Alexandria), the powder XRD pattern of La3IBr2O6 was simulated for a wavelength of 1.5418 Å.
No peak broadening, texture or thermal motion is included.

Crystal structure
Cell: 7.105 7.105 5.947 Å, 99.42 99.42 59.29°
Positions (direct):
La: 0.000 0.000 0.000
La: 0.000 0.500 0.500
La: 0.500 0.000 0.500
I: 0.500 0.500 0.500
Br: 0.220 0.220 0.885
Br: 0.780 0.780 0.115
O: 0.196 0.686 0.698
O: 0.314 0.804 0.302
O: 0.336 0.336 0.347
O: 0.664 0.664 0.653
O: 0.686 0.196 0.698
O: 0.804 0.314 0.302

Largest 10 diffraction maxima, most intense first, 2θ = 10–90°:
2θ 29.43, 3.035 Å, intensity 100
2θ 22.07, 4.027 Å, intensity 97
2θ 31.87, 2.808 Å, intensity 58
2θ 29.67, 3.011 Å, intensity 54
2θ 45.00, 2.014 Å, intensity 54
2θ 52.00, 1.758 Å, intensity 43
2θ 40.77, 2.213 Å, intensity 41
2θ 20.06, 4.427 Å, intensity 39
2θ 30.61, 2.920 Å, intensity 35
2θ 27.46, 3.248 Å, intensity 28

Starting from a DFT-relaxed cell (GGA-PBE, Alexandria), the powder XRD pattern of LiI2Br was simulated for a wavelength of 1.5418 Å.
No peak broadening, texture or thermal motion is included.

Crystal structure
Cell: 5.344 4.417 12.723 Å, 90.00 90.25 90.00°
Positions (direct):
Li: 0.041 0.000 0.402
Li: 0.959 0.500 0.598
I: 0.136 0.113 0.082
I: 0.414 0.826 0.240
I: 0.586 0.326 0.760
I: 0.864 0.613 0.918
Br: 0.204 0.005 0.592
Br: 0.796 0.505 0.408

Largest 10 diffraction maxima, most intense first, 2θ = 10–90°:
2θ 21.67, 4.101 Å, intensity 100
2θ 24.54, 3.628 Å, intensity 41
2θ 26.17, 3.405 Å, intensity 40
2θ 27.12, 3.288 Å, intensity 40
2θ 29.19, 3.059 Å, intensity 34
2θ 29.79, 2.999 Å, intensity 30
2θ 32.83, 2.728 Å, intensity 27
2θ 44.38, 2.041 Å, intensity 23
2θ 17.98, 4.934 Å, intensity 19
2θ 21.29, 4.173 Å, intensity 18